This entry pairs a crystal structure of Na3Cr3CoO8 with its theoretical X-ray powder pattern. Radiation: Cu Ka. Structure: a cell relaxed with GGA+U.
Lines closer than 0.1° are merged.

Top 10 peaks for 10° ≤ 2θ ≤ 90°, by angle:
2θ (°), I (rel.)
16.33, 97
33.01, 16
35.13, 17
36.45, 26
41.36, 100
52.95, 16
57.64, 26
62.17, 26
64.75, 10
77.44, 11

```
data_Na3Cr3CoO8
_cell_length_a 5.973
_cell_length_b 5.973
_cell_length_c 6.426
_cell_angle_alpha 117.63
_cell_angle_beta 117.63
_cell_angle_gamma 60.00
_symmetry_space_group_name_H-M 'P 1'
_symmetry_Int_Tables_number 1
_symmetry_space_group_name_Hall 'P 1'
loop_
_atom_site_label
_atom_site_type_symbol
_atom_site_fract_x
_atom_site_fract_y
_atom_site_fract_z
Na1 Na 0.000 0.000 0.000
Na2 Na 0.000 0.500 0.000
Na3 Na 0.500 0.000 0.000
Cr1 Cr 0.000 0.500 0.500
Cr2 Cr 0.500 0.000 0.500
Cr3 Cr 0.500 0.500 0.500
Co1 Co 0.000 0.000 0.500
O1 O 0.220 0.220 0.686
O2 O 0.220 0.745 0.686
O3 O 0.255 0.780 0.314
O4 O 0.268 0.268 0.304
O5 O 0.732 0.732 0.696
O6 O 0.745 0.220 0.686
O7 O 0.780 0.255 0.314
O8 O 0.780 0.780 0.314
```